(1)
This entry pairs a crystal structure of Sr2In5Hg with its computed powder X-ray diffraction pattern. Radiation: Cu Kα, 1.54184 Å. Structure: a crystal structure in Alexandria, relaxed with PBE.
Intensities are scaled so that the largest is 100.

Principal peaks in the range 2θ from 5° to 70°, low angle first:
| 2θ (°) | I_rel | (hkl) |
| --- | --- | --- |
| 18.30 | 4 | 1 1 0 |
| 30.39 | 4 | 1 0 3 |
| 31.90 | 100 | 2 0 2 |
| 36.81 | 16 | 0 0 4 |
| 37.10 | 34 | 2 2 0 |
| 53.26 | 21 | 2 2 4 |
| 53.47 | 11 | 4 0 0 |
| 63.24 | 11 | 2 0 6 |
| 63.63 | 26 | 4 2 2 |
| 66.68 | 10 | 4 0 4 |

Structure:
Lattice parameters (Å, degrees): 6.8546 6.8546 9.7670 90.00 90.00 90.00
Space group I4mm (No. 107)
One atom of each set of equivalent atoms:
Sr 0.0000 0.5000 0.0000 x4
In 0.0000 0.0000 0.0219 x2
In 0.2397 0.2397 0.7497 x8
Hg 0.0000 0.0000 0.4745 x2

(2)
This entry pairs a crystal structure of NaCu12Ge6 with its computed powder X-ray diffraction pattern. Radiation: Cu Kα, 1.54184 Å. Structure: a crystal structure in Alexandria, relaxed with PBE.
Intensities are scaled so that the largest is 100.

Principal peaks in the range 2θ from 5° to 70°, low angle first:
| 2θ (°) | I_rel | (hkl) |
| --- | --- | --- |
| 14.02 | 31 | 1 0 1 |
| 16.25 | 30 | 1 1 0 |
| 35.72 | 53 | 1 1 3 |
| 35.87 | 78 | 1 3 1 |
| 42.95 | 89 | 0 3 3 |
| 43.08 | 100 | 3 2 1 |
| 43.89 | 46 | 0 4 2 |
| 46.89 | 60 | 0 2 4 |
| 47.07 | 38 | 2 3 2 |
| 53.05 | 63 | 5 0 2 |

Structure:
Lattice parameters (Å, degrees): 10.9075 10.9075 8.4980 90.00 90.00 120.00
Space group R-3m (No. 166, hexagonal axes)
One atom of each set of equivalent atoms:
Na 0.0000 0.0000 0.0000 x3
Cu 0.0000 0.3869 0.5000 x18
Cu 0.0818 0.1637 0.2990 x18
Ge 0.0523 0.5262 0.2486 x18